Computed powder diffractogram
Compound: SrH4Pd2
Radiation: copper Kα
Structure: a cell relaxed with PBE
No peak broadening, texture or thermal motion is included.

The 6 most intense peaks (10 to 90 degrees two-theta), in order of rising 2θ:
2θ (°), intensity
25.5, 100
34.1, 45
35.6, 47
37.8, 54
46.1, 21
47.9, 29

Structural model:
a b c (Å): 5.4044 5.4044 7.8781
angles (deg): 102.59 102.59 111.04
Fractional coordinates of all 14 atoms:
Sr 0.1253 0.8747 0.5000
Sr 0.8747 0.1253 0.0000
H 0.1774 0.2836 0.7675
H 0.2653 0.6594 0.2304
H 0.2836 0.1774 0.2675
H 0.3425 0.7344 0.7692
H 0.6594 0.2653 0.7304
H 0.7166 0.8248 0.2330
H 0.7344 0.3425 0.2692
H 0.8248 0.7166 0.7330
Pd 0.0010 0.4999 0.7501
Pd 0.4999 0.0010 0.2501
Pd 0.5000 0.5007 0.2499
Pd 0.5007 0.5000 0.7499

Computed powder diffractogram
Compound: PmSm4Th3Se8
Radiation: copper Kα
Structure: a cell relaxed with PBE
No peak broadening, texture or thermal motion is included.

The 6 most intense peaks (10 to 90 degrees two-theta), in order of rising 2θ:
2θ (°), intensity
26.2, 20
30.2, 100
42.8, 39
43.6, 37
54.0, 20
70.7, 18

Structural model:
a b c (Å): 8.4463 8.4463 8.4463
angles (deg): 58.84 58.84 58.84
Fractional coordinates of all 16 atoms:
Pm 0.0000 0.0000 0.0000
Sm 0.0000 0.0000 0.5000
Sm 0.0000 0.5000 0.0000
Sm 0.5000 0.0000 0.0000
Sm 0.5000 0.5000 0.5000
Th 0.0000 0.5000 0.5000
Th 0.5000 0.0000 0.5000
Th 0.5000 0.5000 0.0000
Se 0.2473 0.7492 0.7492
Se 0.2479 0.2479 0.2479
Se 0.2508 0.2508 0.7527
Se 0.2508 0.7527 0.2508
Se 0.7492 0.2473 0.7492
Se 0.7492 0.7492 0.2473
Se 0.7521 0.7521 0.7521
Se 0.7527 0.2508 0.2508

Computed powder diffractogram
Compound: Tb2Sm5Y3
Radiation: copper Kα
Structure: a cell relaxed with PBE
No peak broadening, texture or thermal motion is included.

The 6 most intense peaks (10 to 90 degrees two-theta), in order of rising 2θ:
2θ (°), intensity
29.6, 46
29.7, 44
30.8, 100
32.0, 18
33.4, 45
48.8, 19

Structural model:
a b c (Å): 9.3019 9.3019 9.8559
angles (deg): 108.19 108.19 109.50
Fractional coordinates of all 20 atoms:
Tb 0.0169 0.2709 0.0528
Tb 0.2709 0.0169 0.5528
Tb 0.7291 0.9831 0.4472
Tb 0.9831 0.7291 0.9472
Sm 0.0178 0.9822 0.7500
Sm 0.1375 0.3932 0.7801
Sm 0.2272 0.7728 0.7500
Sm 0.3932 0.1375 0.2801
Sm 0.4754 0.5246 0.2500
Sm 0.5246 0.4754 0.7500
Sm 0.6068 0.8625 0.7199
Sm 0.7728 0.2272 0.2500
Sm 0.8625 0.6068 0.2199
Sm 0.9822 0.0178 0.2500
Y 0.2178 0.4652 0.4492
Y 0.2749 0.7251 0.2500
Y 0.4652 0.2178 0.9492
Y 0.5348 0.7822 0.0508
Y 0.7251 0.2749 0.7500
Y 0.7822 0.5348 0.5508

Q: Number 3 is which compound?
A: Tb2Sm5Y3